1.
Starting from a DFT-relaxed cell (GGA-PBE, the Materials Project), the XRD peak list of TiP3 was computed for λ = 1.5418 Å (Cu Kα).
Neutral-atom scattering factors, no anomalous dispersion.

Cell and atoms:
```
data_TiP3
_chemical_formula_sum 'Ti2 P6'
_space_group_name_H-M_alt 'P 1'
_space_group_IT_number 1
_space_group_name_Hall 'P 1'
_cell_length_a 3.6323
_cell_length_b 3.6323
_cell_length_c 8.8308
_cell_angle_alpha 90.00
_cell_angle_beta 90.00
_cell_angle_gamma 90.00
loop_
_atom_site_label
_atom_site_fract_x
_atom_site_fract_y
_atom_site_fract_z
Ti1 0.0000 0.0000 0.0000
Ti2 0.5000 0.5000 0.5000
P1 0.0000 0.0000 0.5000
P2 0.0000 0.5000 0.2500
P3 0.0000 0.5000 0.7500
P4 0.5000 0.0000 0.2500
P5 0.5000 0.0000 0.7500
P6 0.5000 0.5000 0.0000
```

The 10 most intense peaks (10 to 80 degrees two-theta), low angle first:
| 2θ/deg | I/Imax |
| --- | --- |
| 20.11 | 2 |
| 26.53 | 5 |
| 34.93 | 1 |
| 39.40 | 2 |
| 40.64 | 100 |
| 40.88 | 25 |
| 50.24 | 26 |
| 66.69 | 21 |
| 73.78 | 8 |
| 74.27 | 15 |



2.
Starting from a DFT-relaxed cell (GGA-PBE, the Materials Project), the XRD peak list of PtC4S2I2O2 was computed for λ = 1.5418 Å (Cu Kα).
Neutral-atom scattering factors, no anomalous dispersion.

Cell and atoms:
```
data_PtC4S2I2O2
_chemical_formula_sum 'Pt1 C4 S2 I2 O2'
_space_group_name_H-M_alt 'P 1'
_space_group_IT_number 1
_space_group_name_Hall 'P 1'
_cell_length_a 6.5498
_cell_length_b 6.6378
_cell_length_c 8.8346
_cell_angle_alpha 76.55
_cell_angle_beta 81.33
_cell_angle_gamma 80.37
loop_
_atom_site_label
_atom_site_fract_x
_atom_site_fract_y
_atom_site_fract_z
Pt1 0.0000 0.0000 0.0000
C1 0.2046 0.6908 0.3094
C2 0.3334 0.7009 0.4036
C3 0.6666 0.2991 0.5964
C4 0.7954 0.3092 0.6906
S1 0.0008 0.2394 0.7774
S2 0.9992 0.7606 0.2226
I1 0.3069 0.7505 0.8767
I2 0.6931 0.2495 0.1233
O1 0.1873 0.3341 0.7057
O2 0.8127 0.6659 0.2943
```

The 10 most intense peaks (10 to 80 degrees two-theta), low angle first:
| 2θ/deg | I/Imax |
| --- | --- |
| 10.37 | 100 |
| 13.83 | 27 |
| 16.29 | 30 |
| 18.19 | 49 |
| 18.56 | 56 |
| 23.66 | 17 |
| 24.02 | 15 |
| 27.49 | 22 |
| 32.93 | 20 |
| 36.85 | 23 |



3.
Starting from a DFT-relaxed cell (GGA-PBE, the Materials Project), the XRD peak list of Dy3Ge13Ru4 was computed for λ = 1.5418 Å (Cu Kα).
Neutral-atom scattering factors, no anomalous dispersion.

Cell and atoms:
```
data_Dy3Ge13Ru4
_chemical_formula_sum 'Dy6 Ge26 Ru8'
_space_group_name_H-M_alt 'P 1'
_space_group_IT_number 1
_space_group_name_Hall 'P 1'
_cell_length_a 9.1027
_cell_length_b 9.1027
_cell_length_c 9.1027
_cell_angle_alpha 90.00
_cell_angle_beta 90.00
_cell_angle_gamma 90.00
loop_
_atom_site_label
_atom_site_fract_x
_atom_site_fract_y
_atom_site_fract_z
Dy1 0.0000 0.2500 0.5000
Dy2 0.0000 0.7500 0.5000
Dy3 0.2500 0.5000 0.0000
Dy4 0.5000 0.0000 0.2500
Dy5 0.5000 0.0000 0.7500
Dy6 0.7500 0.5000 0.0000
Ge1 0.0000 0.0000 0.0000
Ge2 0.0000 0.3060 0.1492
Ge3 0.0000 0.3060 0.8508
Ge4 0.0000 0.6940 0.1492
Ge5 0.0000 0.6940 0.8508
Ge6 0.1492 0.0000 0.3060
Ge7 0.1492 0.0000 0.6940
Ge8 0.1940 0.5000 0.3508
Ge9 0.1940 0.5000 0.6492
Ge10 0.3060 0.1492 0.0000
Ge11 0.3060 0.8508 0.0000
Ge12 0.3508 0.1940 0.5000
Ge13 0.3508 0.8060 0.5000
Ge14 0.5000 0.3508 0.1940
Ge15 0.5000 0.3508 0.8060
Ge16 0.5000 0.5000 0.5000
Ge17 0.5000 0.6492 0.1940
Ge18 0.5000 0.6492 0.8060
Ge19 0.6492 0.1940 0.5000
Ge20 0.6492 0.8060 0.5000
Ge21 0.6940 0.1492 0.0000
Ge22 0.6940 0.8508 0.0000
Ge23 0.8060 0.5000 0.3508
Ge24 0.8060 0.5000 0.6492
Ge25 0.8508 0.0000 0.3060
Ge26 0.8508 0.0000 0.6940
Ru1 0.2500 0.2500 0.2500
Ru2 0.2500 0.2500 0.7500
Ru3 0.2500 0.7500 0.2500
Ru4 0.2500 0.7500 0.7500
Ru5 0.7500 0.2500 0.2500
Ru6 0.7500 0.2500 0.7500
Ru7 0.7500 0.7500 0.2500
Ru8 0.7500 0.7500 0.7500
```

The 10 most intense peaks (10 to 80 degrees two-theta), low angle first:
| 2θ/deg | I/Imax |
| --- | --- |
| 21.83 | 14 |
| 34.12 | 21 |
| 35.56 | 100 |
| 36.95 | 39 |
| 39.60 | 32 |
| 40.88 | 10 |
| 49.03 | 19 |
| 59.19 | 12 |
| 62.94 | 14 |
| 68.36 | 21 |



4.
Starting from a DFT-relaxed cell (GGA-PBE, the Materials Project), the XRD peak list of SbPO5 was computed for λ = 1.5418 Å (Cu Kα).
Neutral-atom scattering factors, no anomalous dispersion.

Cell and atoms:
```
data_SbPO5
_chemical_formula_sum 'Sb2 P2 O10'
_space_group_name_H-M_alt 'P 1'
_space_group_IT_number 1
_space_group_name_Hall 'P 1'
_cell_length_a 5.3520
_cell_length_b 5.3520
_cell_length_c 7.1430
_cell_angle_alpha 106.57
_cell_angle_beta 106.57
_cell_angle_gamma 99.72
loop_
_atom_site_label
_atom_site_fract_x
_atom_site_fract_y
_atom_site_fract_z
Sb1 0.0000 0.0000 0.0000
Sb2 0.0000 0.0000 0.5000
P1 0.3319 0.6681 0.7500
P2 0.6681 0.3319 0.2500
O1 0.0936 0.9064 0.2500
O2 0.1334 0.6858 0.8723
O3 0.2592 0.3746 0.5975
O4 0.3142 0.8666 0.6277
O5 0.3746 0.2592 0.0975
O6 0.6254 0.7408 0.9025
O7 0.6858 0.1334 0.3723
O8 0.7408 0.6254 0.4025
O9 0.8666 0.3142 0.1277
O10 0.9064 0.0936 0.7500
```

The 10 most intense peaks (10 to 80 degrees two-theta), low angle first:
| 2θ/deg | I/Imax |
| --- | --- |
| 17.97 | 100 |
| 21.72 | 28 |
| 27.33 | 65 |
| 28.86 | 33 |
| 35.60 | 29 |
| 35.98 | 23 |
| 41.73 | 24 |
| 45.33 | 19 |
| 53.13 | 13 |
| 54.38 | 23 |



5.
Starting from a DFT-relaxed cell (GGA-PBE, the Materials Project), the XRD peak list of BaY2F8 was computed for λ = 1.5418 Å (Cu Kα).
Neutral-atom scattering factors, no anomalous dispersion.

Cell and atoms:
```
data_BaY2F8
_chemical_formula_sum 'Ba1 Y2 F8'
_space_group_name_H-M_alt 'P 1'
_space_group_IT_number 1
_space_group_name_Hall 'P 1'
_cell_length_a 7.7927
_cell_length_b 7.7927
_cell_length_c 7.7927
_cell_angle_alpha 139.25
_cell_angle_beta 139.25
_cell_angle_gamma 58.99
loop_
_atom_site_label
_atom_site_fract_x
_atom_site_fract_y
_atom_site_fract_z
Ba1 0.0000 0.0000 0.0000
Y1 0.3139 0.3139 0.0000
Y2 0.6861 0.6861 0.0000
F1 0.0036 0.5919 0.9816
F2 0.2387 0.1919 0.5942
F3 0.3556 0.7613 0.9532
F4 0.4081 0.3897 0.4117
F5 0.5977 0.6444 0.4058
F6 0.6103 0.0220 0.0184
F7 0.8081 0.4023 0.0468
F8 0.9780 0.9964 0.5883
```

The 10 most intense peaks (10 to 80 degrees two-theta), low angle first:
| 2θ/deg | I/Imax |
| --- | --- |
| 23.18 | 86 |
| 25.64 | 100 |
| 35.32 | 18 |
| 42.27 | 66 |
| 46.63 | 18 |
| 47.39 | 19 |
| 52.70 | 14 |
| 53.40 | 13 |
| 54.65 | 18 |
| 74.10 | 14 |



6.
Starting from a DFT-relaxed cell (GGA-PBE, the Materials Project), the XRD peak list of Eu5Pd2 was computed for λ = 1.5418 Å (Cu Kα).
Neutral-atom scattering factors, no anomalous dispersion.

Cell and atoms:
```
data_Eu5Pd2
_chemical_formula_sum 'Eu10 Pd4'
_space_group_name_H-M_alt 'P 1'
_space_group_IT_number 1
_space_group_name_Hall 'P 1'
_cell_length_a 9.2057
_cell_length_b 9.2057
_cell_length_c 7.8314
_cell_angle_alpha 96.75
_cell_angle_beta 96.75
_cell_angle_gamma 43.95
loop_
_atom_site_label
_atom_site_fract_x
_atom_site_fract_y
_atom_site_fract_z
Eu1 0.0852 0.9148 0.7500
Eu2 0.1395 0.2976 0.3172
Eu3 0.2976 0.1395 0.8172
Eu4 0.2991 0.5170 0.0797
Eu5 0.4830 0.7009 0.4203
Eu6 0.5170 0.2991 0.5797
Eu7 0.7009 0.4830 0.9203
Eu8 0.7024 0.8605 0.1828
Eu9 0.8605 0.7024 0.6828
Eu10 0.9148 0.0852 0.2500
Pd1 0.0960 0.6858 0.4207
Pd2 0.3142 0.9040 0.0793
Pd3 0.6858 0.0960 0.9207
Pd4 0.9040 0.3142 0.5793
```

The 10 most intense peaks (10 to 80 degrees two-theta), low angle first:
| 2θ/deg | I/Imax |
| --- | --- |
| 26.28 | 44 |
| 28.34 | 82 |
| 29.21 | 94 |
| 29.38 | 100 |
| 29.76 | 42 |
| 30.80 | 55 |
| 32.31 | 53 |
| 32.84 | 51 |
| 33.22 | 41 |
| 36.86 | 91 |



7.
Starting from a DFT-relaxed cell (GGA-PBE, the Materials Project), the XRD peak list of Tm2InAg was computed for λ = 1.5418 Å (Cu Kα).
Neutral-atom scattering factors, no anomalous dispersion.

Cell and atoms:
```
data_Tm2InAg
_chemical_formula_sum 'Tm2 In1 Ag1'
_space_group_name_H-M_alt 'P 1'
_space_group_IT_number 1
_space_group_name_Hall 'P 1'
_cell_length_a 3.6590
_cell_length_b 3.6590
_cell_length_c 7.3486
_cell_angle_alpha 90.00
_cell_angle_beta 90.00
_cell_angle_gamma 90.00
loop_
_atom_site_label
_atom_site_fract_x
_atom_site_fract_y
_atom_site_fract_z
Tm1 0.0000 0.0000 0.2349
Tm2 0.0000 0.0000 0.7651
In1 0.5000 0.5000 0.5000
Ag1 0.5000 0.5000 0.0000
```

The 10 most intense peaks (10 to 80 degrees two-theta), low angle first:
| 2θ/deg | I/Imax |
| --- | --- |
| 24.22 | 1 |
| 24.33 | 3 |
| 34.62 | 100 |
| 49.62 | 6 |
| 49.84 | 12 |
| 56.19 | 1 |
| 61.95 | 11 |
| 62.09 | 24 |
| 72.98 | 7 |
| 73.16 | 4 |



8.
Starting from a DFT-relaxed cell (GGA-PBE, the Materials Project), the XRD peak list of SmB6 was computed for λ = 1.5418 Å (Cu Kα).
Neutral-atom scattering factors, no anomalous dispersion.

Cell and atoms:
```
data_SmB6
_chemical_formula_sum 'Sm1 B6'
_space_group_name_H-M_alt 'P 1'
_space_group_IT_number 1
_space_group_name_Hall 'P 1'
_cell_length_a 4.1197
_cell_length_b 4.1197
_cell_length_c 4.1197
_cell_angle_alpha 90.00
_cell_angle_beta 90.00
_cell_angle_gamma 90.00
loop_
_atom_site_label
_atom_site_fract_x
_atom_site_fract_y
_atom_site_fract_z
Sm1 0.0000 0.0000 0.0000
B1 0.1994 0.5000 0.5000
B2 0.5000 0.1994 0.5000
B3 0.5000 0.5000 0.1994
B4 0.5000 0.5000 0.8006
B5 0.5000 0.8006 0.5000
B6 0.8006 0.5000 0.5000
```

The 10 most intense peaks (10 to 80 degrees two-theta), low angle first:
| 2θ/deg | I/Imax |
| --- | --- |
| 21.57 | 67 |
| 30.69 | 100 |
| 37.82 | 42 |
| 43.96 | 21 |
| 49.47 | 50 |
| 54.56 | 28 |
| 63.91 | 10 |
| 68.30 | 28 |
| 72.56 | 20 |
| 76.73 | 13 |